1.
# Sr8Mg3FeMo4O24
Simulated powder diffraction line list, Cu Kα. Input: DFT lattice parameters and positions (GGA+U).
Neutral-atom scattering factors, no anomalous dispersion.

The 8 most intense peaks (15° ≤ 2θ ≤ 90°), in order of rising 2θ:
2θ 19.22, rel. 218, (1 1 -2); 2θ 31.55, rel. 1000, (2 0 1); 2θ 31.82, rel. 523, (2 -2 0); 2θ 44.82, rel. 201, (0 0 4); 2θ 45.53, rel. 181, (0 4 -2); 2θ 56.01, rel. 208, (2 2 2); 2θ 56.47, rel. 205, (2 -4 3); 2θ 56.59, rel. 203, (4 2 -1)

Crystal structure
```
Sr8Mg3FeMo4O24
1.0
7.9381 0.0000 0.0000
-0.0044 7.9689 0.0000
-3.9657 -3.9845 8.0889
Sr Mg Fe Mo O
8 3 1 4 24
direct
0.1196 0.1215 0.2495
0.1197 0.6286 0.2500
0.3698 0.8788 0.7500
0.3706 0.3722 0.7508
0.6294 0.6278 0.2492
0.6302 0.1212 0.2500
0.8803 0.3714 0.7500
0.8804 0.8785 0.7505
0.2514 0.2513 0.0026
0.5000 0.0000 0.5000
0.7486 0.7487 0.9974
0.0000 0.5000 0.5000
0.0000 0.0000 0.5000
0.2510 0.7511 0.0022
0.5000 0.5000 0.5000
0.7490 0.2489 0.9978
0.0064 0.7122 0.9948
0.0342 0.7470 0.5000
0.1255 0.1246 0.7493
0.1274 0.6274 0.7550
0.2158 0.9919 0.0028
0.2423 0.0322 0.5009
0.2547 0.4640 0.5001
0.2869 0.5110 0.0030
0.3700 0.8706 0.2411
0.3805 0.3805 0.2612
0.4660 0.7407 0.4999
0.4880 0.7825 0.9946
0.5120 0.2175 0.0054
0.5340 0.2593 0.5001
0.6195 0.6195 0.7388
0.6300 0.1294 0.7589
0.7131 0.4890 0.9970
0.7453 0.5360 0.4999
0.7577 0.9678 0.4991
0.7842 0.0081 0.9972
0.8726 0.3726 0.2450
0.8745 0.8754 0.2507
0.9658 0.2530 0.5000
0.9936 0.2878 0.0052
```



2.
# MgVFeMo3O14
Simulated powder diffraction line list, Cu Kα. Input: DFT lattice parameters and positions (GGA+U).
Neutral-atom scattering factors, no anomalous dispersion.

The 8 most intense peaks (15° ≤ 2θ ≤ 90°), in order of rising 2θ:
2θ 22.61, rel. 1000, (1 2 0); 2θ 22.78, rel. 232, (1 1 -2); 2θ 24.12, rel. 519, (0 1 2); 2θ 24.93, rel. 761, (2 0 -2); 2θ 26.85, rel. 148, (2 1 -2); 2θ 30.23, rel. 262, (1 1 2); 2θ 30.71, rel. 139, (1 0 -3); 2θ 38.73, rel. 138, (3 2 -2)

Crystal structure
```
MgVFeMo3O14
1.0
8.4256 0.0000 0.0000
0.0000 9.1123 0.0000
-3.3478 0.0000 8.0690
Mg V Fe Mo O
2 2 2 6 28
direct
0.2461 0.0000 0.4291
0.7539 0.5000 0.5709
0.1156 0.6470 0.9088
0.8844 0.1470 0.0912
0.2389 0.0048 0.0613
0.7611 0.5048 0.9387
0.0451 0.6222 0.3571
0.3828 0.3633 0.5977
0.4499 0.3868 0.1400
0.5501 0.8868 0.8600
0.6172 0.8633 0.4023
0.9549 0.1222 0.6429
0.0590 0.0932 0.8603
0.0993 0.0764 0.5505
0.0998 0.0772 0.1898
0.1131 0.8053 0.3927
0.1268 0.8129 0.0095
0.1907 0.6720 0.7634
0.2370 0.4949 0.4352
0.2652 0.5155 0.0636
0.2953 0.3334 0.7440
0.3744 0.2021 0.1006
0.3870 0.1934 0.5043
0.3993 0.9339 0.2945
0.4028 0.9348 0.9538
0.4471 0.9120 0.6423
0.5529 0.4120 0.3577
0.5972 0.4348 0.0462
0.6007 0.4339 0.7055
0.6130 0.6934 0.4957
0.6256 0.7021 0.8994
0.7047 0.8334 0.2560
0.7348 0.0155 0.9364
0.7630 0.9949 0.5648
0.8093 0.1720 0.2366
0.8732 0.3129 0.9905
0.8869 0.3053 0.6073
0.9002 0.5772 0.8102
0.9007 0.5764 0.4495
0.9410 0.5932 0.1397
```